(1)
Theoretical X-ray powder pattern
Compound: NdSnAu
Radiation: Cu Kα X-rays
Structure: DFT lattice parameters and positions (PBE)
Intensities are scaled so that the largest is 100.

Principal peaks in the range 2θ = 5–70°, most intense first:
d = 2.855 Å, I = 100, hkl 1 0 2
d = 2.374 Å, I = 70, hkl 1 1 0
d = 1.522 Å, I = 36, hkl 1 1 4
d = 1.825 Å, I = 28, hkl 2 0 2
d = 1.447 Å, I = 26, hkl 2 1 2
d = 1.984 Å, I = 14, hkl 0 0 4
d = 2.037 Å, I = 13, hkl 1 1 2
d = 1.371 Å, I = 13, hkl 3 0 0
d = 3.967 Å, I = 12, hkl 0 0 2
d = 3.651 Å, I = 9, hkl 1 0 1
d = 2.224 Å, I = 2, hkl 1 0 3
d = 1.990 Å, I = 2, hkl 2 0 1

Crystal structure
Cell lengths 4.7481, 4.7481, 7.9343 Å; angles 90.00, 90.00, 120.00 degrees
Space group P6_3/mmc (No. 194)
Symmetry-distinct sites (fractional):
Nd 0.0000 0.0000 0.0000 x2
Sn 0.3333 0.6667 0.2500 x2
Au 0.3333 0.6667 0.7500 x2

=====

(2)
Theoretical X-ray powder pattern
Compound: LiLa2As2O8
Radiation: Cu Kα X-rays
Structure: DFT lattice parameters and positions (PBE)
Intensities are scaled so that the largest is 100.

Principal peaks in the range 2θ = 5–70°, most intense first:
d = 3.801 Å, I = 100, hkl 0 2 1
d = 2.835 Å, I = 34, hkl 2 2 -1
d = 2.890 Å, I = 20, hkl 2 0 0
d = 2.798 Å, I = 18, hkl 2 0 -2
d = 1.986 Å, I = 17, hkl 2 2 1
d = 1.900 Å, I = 15, hkl 0 4 2
d = 1.963 Å, I = 15, hkl 2 4 0
d = 1.933 Å, I = 14, hkl 2 4 -2
d = 1.926 Å, I = 14, hkl 2 2 -3
d = 2.701 Å, I = 12, hkl 0 0 2
d = 2.675 Å, I = 12, hkl 0 4 0
d = 1.349 Å, I = 9, hkl 0 0 4

Crystal structure
Cell lengths 6.6912, 10.6988, 6.2530 Å; angles 90.00, 120.25, 90.00 degrees
Space group C2 (No. 5)
Symmetry-distinct sites (fractional):
Li 0.0000 0.0000 0.0000 x2
La 0.0000 0.0240 0.5000 x2
La 0.0000 0.2877 0.0000 x2
As 0.0000 0.5397 0.5000 x2
As 0.0000 0.7602 0.0000 x2
O 0.0811 0.8622 0.8384 x4
O 0.0883 0.4405 0.3321 x4
O 0.1919 0.1044 0.2741 x4
O 0.2491 0.1797 0.8236 x4

=====

(3)
Theoretical X-ray powder pattern
Compound: Cs3TlO3
Radiation: Cu Kα X-rays
Structure: DFT lattice parameters and positions (PBE)
Intensities are scaled so that the largest is 100.

Principal peaks in the range 2θ = 5–70°, most intense first:
d = 3.260 Å, I = 100, hkl 1 2 1
d = 2.814 Å, I = 61, hkl 0 1 4
d = 3.230 Å, I = 59, hkl 2 1 -2
d = 3.305 Å, I = 58, hkl 2 0 2
d = 3.368 Å, I = 48, hkl 1 1 -3
d = 2.588 Å, I = 25, hkl 3 1 -1
d = 1.901 Å, I = 22, hkl 3 2 3
d = 3.579 Å, I = 21, hkl 2 0 -2
d = 2.082 Å, I = 21, hkl 4 0 0
d = 3.417 Å, I = 20, hkl 1 2 0
d = 1.701 Å, I = 18, hkl 3 2 -5
d = 1.851 Å, I = 17, hkl 3 1 -5

Crystal structure
Cell lengths 8.3580, 7.4938, 12.1913 Å; angles 90.00, 94.88, 90.00 degrees
Space group P2_1/c (No. 14)
Symmetry-distinct sites (fractional):
Cs 0.0557 0.1278 0.1552 x4
Cs 0.3544 0.1798 0.9255 x4
Cs 0.3702 0.6931 0.8083 x4
Tl 0.1621 0.5901 0.0675 x4
O 0.1008 0.0421 0.4010 x4
O 0.2537 0.6453 0.5371 x4
O 0.3047 0.0629 0.6909 x4